Diffraction record for Ca4AlZn43. The X-ray powder pattern is computed, not measured: it uses a GGA-PBE-relaxed structure and Cu Kα.
Neutral-atom scattering factors, no anomalous dispersion.

Principal peaks in the range 2θ = 5–70°, by angle:
- 16.6°, I 42
- 37.4°, I 100
- 37.6°, I 42
- 37.8°, I 42
- 40.2°, I 44
- 43.8°, I 59
- 44.4°, I 42
- 44.5°, I 85
- 44.6°, I 41
- 46.3°, I 32

```
data_Ca4AlZn43
_symmetry_space_group_name_H-M 'C 2 2 2'
_symmetry_Int_Tables_number 21
_symmetry_space_group_name_Hall 'C 2 2'
_cell_length_a 6.8757
_cell_length_b 15.0238
_cell_length_c 15.1226
_cell_angle_alpha 90.00
_cell_angle_beta 90.00
_cell_angle_gamma 90.00
loop_
_atom_site_label
_atom_site_type_symbol
_atom_site_fract_x
_atom_site_fract_y
_atom_site_fract_z
_atom_site_occupancy
Ca1 Ca 0.0000 0.0000 0.0000 1
Ca2 Ca 0.0000 0.5000 0.5000 1
Ca3 Ca 0.2500 0.2500 0.2499 1
Al1 Al 0.0000 0.0000 0.5000 1
Zn1 Zn 0.0000 0.5000 0.0000 1
Zn2 Zn 0.0513 0.2923 0.5860 1
Zn3 Zn 0.0520 0.2079 0.9140 1
Zn4 Zn 0.0524 0.4134 0.7086 1
Zn5 Zn 0.0532 0.0866 0.7918 1
Zn6 Zn 0.1249 0.3751 0.8750 1
Zn7 Zn 0.1258 0.1259 0.6259 1
Zn8 Zn 0.1967 0.1631 0.4586 1
Zn9 Zn 0.1969 0.3366 0.0415 1
Zn10 Zn 0.1977 0.0418 0.3359 1
Zn11 Zn 0.1981 0.4577 0.1638 1
Zn12 Zn 0.2500 0.2500 0.7504 1
```

---

Diffraction record for SrIn7Pd5. The X-ray powder pattern is computed, not measured: it uses a GGA-PBE-relaxed structure and Cu Kα.
Neutral-atom scattering factors, no anomalous dispersion.

Principal peaks in the range 2θ = 5–70°, by angle:
- 31.4°, I 33
- 36.0°, I 41
- 36.3°, I 38
- 36.6°, I 30
- 36.8°, I 65
- 37.2°, I 35
- 37.9°, I 36
- 40.8°, I 100
- 41.4°, I 30
- 42.2°, I 24

```
data_SrIn7Pd5
_symmetry_space_group_name_H-M 'I m m 2'
_symmetry_Int_Tables_number 44
_symmetry_space_group_name_Hall 'I 2 -2'
_cell_length_a 5.8009
_cell_length_b 9.8130
_cell_length_c 9.4885
_cell_angle_alpha 90.00
_cell_angle_beta 90.00
_cell_angle_gamma 90.00
loop_
_atom_site_label
_atom_site_type_symbol
_atom_site_fract_x
_atom_site_fract_y
_atom_site_fract_z
_atom_site_occupancy
Sr1 Sr 0.0000 0.0000 0.0000 1
In1 In 0.0000 0.0000 0.3532 1
In2 In 0.0000 0.0000 0.6624 1
In3 In 0.0000 0.3017 0.4842 1
In4 In 0.0000 0.3426 0.0150 1
In5 In 0.0000 0.5000 0.7334 1
Pd1 Pd 0.0000 0.5000 0.2684 1
Pd2 Pd 0.2466 0.2606 0.7452 1
```

---

Diffraction record for Ba3Tl3Pt2. The X-ray powder pattern is computed, not measured: it uses a GGA-PBE-relaxed structure and Cu Kα.
Neutral-atom scattering factors, no anomalous dispersion.

Principal peaks in the range 2θ = 5–70°, by angle:
- 14.4°, I 61
- 28.6°, I 93
- 29.3°, I 94
- 32.2°, I 48
- 32.8°, I 100
- 35.2°, I 55
- 35.4°, I 36
- 39.5°, I 73
- 40.5°, I 43
- 53.9°, I 34

```
data_Ba3Tl3Pt2
_symmetry_space_group_name_H-M 'C m c m'
_symmetry_Int_Tables_number 63
_symmetry_space_group_name_Hall '-C 2c 2'
_cell_length_a 4.5630
_cell_length_b 12.3194
_cell_length_c 18.2535
_cell_angle_alpha 90.00
_cell_angle_beta 90.00
_cell_angle_gamma 90.00
loop_
_atom_site_label
_atom_site_type_symbol
_atom_site_fract_x
_atom_site_fract_y
_atom_site_fract_z
_atom_site_occupancy
Ba1 Ba 0.0000 0.0603 0.1040 1
Ba2 Ba 0.0000 0.3360 0.2500 1
Tl1 Tl 0.0000 0.3419 0.0383 1
Tl2 Tl 0.0000 0.3747 0.7500 1
Pt1 Pt 0.0000 0.2416 0.6175 1
```

---

Diffraction record for Tb3Pm2Sn3. The X-ray powder pattern is computed, not measured: it uses a GGA-PBE-relaxed structure and Cu Kα.
Neutral-atom scattering factors, no anomalous dispersion.

Principal peaks in the range 2θ = 5–70°, by angle:
- 26.6°, I 18
- 29.0°, I 20
- 30.0°, I 31
- 32.9°, I 100
- 33.2°, I 72
- 34.1°, I 36
- 48.4°, I 19
- 51.1°, I 29
- 54.0°, I 13
- 65.4°, I 18

```
data_Tb3Pm2Sn3
_symmetry_space_group_name_H-M 'P 63/m c m'
_symmetry_Int_Tables_number 193
_symmetry_space_group_name_Hall '-P 6c 2'
_cell_length_a 9.1035
_cell_length_b 9.1035
_cell_length_c 6.6955
_cell_angle_alpha 90.00
_cell_angle_beta 90.00
_cell_angle_gamma 120.00
loop_
_atom_site_label
_atom_site_type_symbol
_atom_site_fract_x
_atom_site_fract_y
_atom_site_fract_z
_atom_site_occupancy
Tb1 Tb 0.0000 0.2377 0.2500 1
Pm1 Pm 0.3333 0.6667 0.0000 1
Sn1 Sn 0.0000 0.3922 0.7500 1
```

---

Diffraction record for La3In2Ga4. The X-ray powder pattern is computed, not measured: it uses a GGA-PBE-relaxed structure and Cu Kα.
Neutral-atom scattering factors, no anomalous dispersion.

Principal peaks in the range 2θ = 5–70°, by angle:
- 30.3°, I 31
- 30.4°, I 73
- 30.6°, I 100
- 40.1°, I 95
- 40.5°, I 27
- 51.3°, I 24
- 58.0°, I 17
- 58.3°, I 18
- 58.5°, I 20
- 67.0°, I 28

```
data_La3In2Ga4
_symmetry_space_group_name_H-M 'C 1 2/m 1'
_symmetry_Int_Tables_number 12
_symmetry_space_group_name_Hall '-C 2y'
_cell_length_a 11.7964
_cell_length_b 4.4939
_cell_length_c 9.0230
_cell_angle_alpha 90.00
_cell_angle_beta 101.32
_cell_angle_gamma 90.00
loop_
_atom_site_label
_atom_site_type_symbol
_atom_site_fract_x
_atom_site_fract_y
_atom_site_fract_z
_atom_site_occupancy
La1 La 0.0000 0.0000 0.0000 1
La2 La 0.1661 0.5000 0.6680 1
In1 In 0.1082 0.5000 0.2733 1
Ga1 Ga 0.0721 0.0000 0.4154 1
Ga2 Ga 0.2105 0.5000 0.0327 1
```

---

Diffraction record for CsTi4Br7. The X-ray powder pattern is computed, not measured: it uses a GGA-PBE-relaxed structure and Cu Kα.
Neutral-atom scattering factors, no anomalous dispersion.

Principal peaks in the range 2θ = 5–70°, by angle:
- 12.5°, I 15
- 25.2°, I 32
- 25.6°, I 13
- 28.3°, I 100
- 35.3°, I 34
- 36.8°, I 32
- 45.1°, I 13
- 46.3°, I 34
- 51.9°, I 22
- 59.1°, I 13

```
data_CsTi4Br7
_symmetry_space_group_name_H-M 'P m m n'
_symmetry_Int_Tables_number 59
_cell_length_a 4.8877
_cell_length_b 20.3671
_cell_length_c 7.0756
_cell_angle_alpha 90.00
_cell_angle_beta 90.00
_cell_angle_gamma 90.00
loop_
_symmetry_equiv_pos_as_xyz
'x,y,z'
'-x,-y,-z'
'-x+1/2,-y+1/2,z'
'x+1/2,y+1/2,-z'
'x+1/2,-y,-z'
'-x+1/2,y,z'
'-x,y+1/2,-z'
'x,-y+1/2,z'
loop_
_atom_site_label
_atom_site_type_symbol
_atom_site_fract_x
_atom_site_fract_y
_atom_site_fract_z
_atom_site_occupancy
Cs1 Cs 0.2500 0.2500 0.2048 1
Ti1 Ti 0.2500 0.0017 0.6057 1
Ti2 Ti 0.2500 0.6121 0.4037 1
Br1 Br 0.2500 0.9997 0.2265 1
Br2 Br 0.2500 0.1256 0.7360 1
Br3 Br 0.2500 0.6182 0.7658 1
Br4 Br 0.2500 0.7500 0.3950 1
```